Structure and simulated X-ray diffraction stick pattern of Na6Bi2Pt (a DFT-relaxed cell (GGA-PBE, Alexandria); Cu Kα).
Lines closer than 0.1° are merged.

Largest 10 diffraction maxima, in order of rising 2θ, 2θ = 10–90°:
- (1 0 1), 2θ = 19.2°, d = 4.616 Å, I = 100
- (0 1 2), 2θ = 19.9°, d = 4.465 Å, I = 38
- (1 1 0), 2θ = 33.2°, d = 2.696 Å, I = 61
- (1 0 10), 2θ = 35.2°, d = 2.551 Å, I = 37
- (0 1 11), 2θ = 37.8°, d = 2.382 Å, I = 31
- (0 2 1), 2θ = 38.7°, d = 2.328 Å, I = 18
- (0 2 10), 2θ = 49.2°, d = 1.853 Å, I = 15
- (1 1 12), 2θ = 49.3°, d = 1.848 Å, I = 22
- (2 1 1), 2θ = 51.9°, d = 1.762 Å, I = 16
- (2 1 10), 2θ = 60.6°, d = 1.527 Å, I = 15

Atomic structure:
```
data_Na6Bi2Pt
_space_group_name_H-M_alt 'R -3 m'
_space_group_IT_number 166
_space_group_name_Hall '-R 3 2"'
_cell_length_a 5.3921
_cell_length_b 5.3921
_cell_length_c 30.4592
_cell_angle_alpha 90.00
_cell_angle_beta 90.00
_cell_angle_gamma 120.00
loop_
_atom_site_label
_atom_site_type_symbol
_atom_site_fract_x
_atom_site_fract_y
_atom_site_fract_z
Na1 Na 0.0000 0.0000 0.0840
Na2 Na 0.0000 0.0000 0.1955
Na3 Na 0.0000 0.0000 0.3045
Bi1 Bi 0.0000 0.0000 0.4106
Pt1 Pt 0.0000 0.0000 0.5000
```

=====

Structure and simulated X-ray diffraction stick pattern of SmEr4Tm10 (a DFT-relaxed cell (GGA-PBE, Alexandria); Cu Kα).
Lines closer than 0.1° are merged.

Largest 10 diffraction maxima, in order of rising 2θ, 2θ = 10–90°:
- (2 1 1), 2θ = 20.3°, d = 4.381 Å, I = 25
- (1 3 0), 2θ = 23.4°, d = 3.794 Å, I = 15
- (4 2 0), 2θ = 33.4°, d = 2.683 Å, I = 100
- (5 0 1), 2θ = 39.4°, d = 2.288 Å, I = 14
- (2 6 0), 2θ = 48.0°, d = 1.897 Å, I = 18
- (6 3 1), 2θ = 52.6°, d = 1.741 Å, I = 6
- (7 1 0), 2θ = 54.0°, d = 1.697 Å, I = 6
- (7 1 2), 2θ = 59.7°, d = 1.549 Å, I = 38
- (8 4 0), 2θ = 70.2°, d = 1.341 Å, I = 12
- (10 0 0), 2θ = 80.0°, d = 1.200 Å, I = 17

Atomic structure:
```
data_SmEr4Tm10
_space_group_name_H-M_alt 'I 4/m'
_space_group_IT_number 87
_space_group_name_Hall '-I 4'
_cell_length_a 12.0005
_cell_length_b 12.0005
_cell_length_c 7.5846
_cell_angle_alpha 90.00
_cell_angle_beta 90.00
_cell_angle_gamma 90.00
loop_
_atom_site_label
_atom_site_type_symbol
_atom_site_fract_x
_atom_site_fract_y
_atom_site_fract_z
Sm1 Sm 0.0000 0.0000 0.0000
Er1 Er 0.0994 0.3011 0.5000
Tm1 Tm 0.0000 0.5000 0.2500
Tm2 Tm 0.1011 0.7991 0.2522
```

=====

Structure and simulated X-ray diffraction stick pattern of Mn2Zn2Se5 (a DFT-relaxed cell (GGA-PBE, Alexandria); Cu Kα).
Lines closer than 0.1° are merged.

Largest 10 diffraction maxima, in order of rising 2θ, 2θ = 10–90°:
- (0 0 12), 2θ = 21.9°, d = 4.067 Å, I = 54
- (1 0 1), 2θ = 26.3°, d = 3.387 Å, I = 61
- (0 1 2), 2θ = 26.5°, d = 3.363 Å, I = 26
- (0 1 5), 2θ = 27.8°, d = 3.207 Å, I = 30
- (1 0 7), 2θ = 29.3°, d = 3.053 Å, I = 29
- (0 1 8), 2θ = 30.1°, d = 2.967 Å, I = 56
- (0 1 17), 2θ = 41.2°, d = 2.192 Å, I = 30
- (1 1 0), 2θ = 46.3°, d = 1.960 Å, I = 100
- (1 0 22), 2θ = 49.1°, d = 1.857 Å, I = 61
- (1 1 12), 2θ = 51.8°, d = 1.766 Å, I = 30

Atomic structure:
```
data_Mn2Zn2Se5
_space_group_name_H-M_alt 'R 3 m'
_space_group_IT_number 160
_space_group_name_Hall 'R 3 -2"'
_cell_length_a 3.9210
_cell_length_b 3.9210
_cell_length_c 48.7982
_cell_angle_alpha 90.00
_cell_angle_beta 90.00
_cell_angle_gamma 120.00
loop_
_atom_site_label
_atom_site_type_symbol
_atom_site_fract_x
_atom_site_fract_y
_atom_site_fract_z
Mn1 Mn 0.0000 0.0000 0.0000
Mn2 Mn 0.0000 0.0000 0.1848
Zn1 Zn 0.0000 0.0000 0.5957
Zn2 Zn 0.0000 0.0000 0.7723
Se1 Se 0.0000 0.0000 0.0883
Se2 Se 0.0000 0.0000 0.5452
Se3 Se 0.0000 0.0000 0.6864
Se4 Se 0.0000 0.0000 0.8249
Se5 Se 0.0000 0.0000 0.9483
```

=====

Structure and simulated X-ray diffraction stick pattern of NaTb2Br6 (a DFT-relaxed cell (GGA-PBE, Alexandria); Cu Kα).
Lines closer than 0.1° are merged.

Largest 10 diffraction maxima, in order of rising 2θ, 2θ = 10–90°:
- (0 0 1), 2θ = 12.6°, d = 7.010 Å, I = 44
- (1 0 0), 2θ = 14.5°, d = 6.129 Å, I = 22
- (1 0 1), 2θ = 19.2°, d = 4.614 Å, I = 34
- (2 -1 1), 2θ = 28.3°, d = 3.159 Å, I = 100
- (2 -1 2), 2θ = 36.1°, d = 2.490 Å, I = 70
- (3 0 0), 2θ = 44.3°, d = 2.043 Å, I = 38
- (1 1 3), 2θ = 46.6°, d = 1.950 Å, I = 28
- (2 2 1), 2θ = 53.4°, d = 1.715 Å, I = 16
- (2 2 2), 2θ = 58.4°, d = 1.579 Å, I = 17
- (3 0 4), 2θ = 70.8°, d = 1.330 Å, I = 18

Atomic structure:
```
data_NaTb2Br6
_space_group_name_H-M_alt 'P -3 1 m'
_space_group_IT_number 162
_space_group_name_Hall '-P 3 2'
_cell_length_a 7.0769
_cell_length_b 7.0769
_cell_length_c 7.0097
_cell_angle_alpha 90.00
_cell_angle_beta 90.00
_cell_angle_gamma 120.00
loop_
_atom_site_label
_atom_site_type_symbol
_atom_site_fract_x
_atom_site_fract_y
_atom_site_fract_z
Na1 Na 0.0000 0.0000 0.0000
Tb1 Tb 0.3333 0.6667 0.5000
Br1 Br 0.0000 0.3452 0.7391
```

=====

Structure and simulated X-ray diffraction stick pattern of Pm8Ge5Se (a DFT-relaxed cell (GGA-PBE, Alexandria); Cu Kα).
Lines closer than 0.1° are merged.

Largest 10 diffraction maxima, in order of rising 2θ, 2θ = 10–90°:
- (1 2 1), 2θ = 24.0°, d = 3.702 Å, I = 10
- (2 0 2), 2θ = 27.8°, d = 3.206 Å, I = 15
- (1 3 0), 2θ = 31.2°, d = 2.868 Å, I = 100
- (3 2 1), 2θ = 37.1°, d = 2.424 Å, I = 61
- (2 2 4), 2θ = 49.2°, d = 1.851 Å, I = 18
- (1 4 3), 2θ = 51.4°, d = 1.778 Å, I = 33
- (1 1 6), 2θ = 63.2°, d = 1.471 Å, I = 22
- (6 0 2), 2θ = 65.1°, d = 1.434 Å, I = 12
- (1 4 5), 2θ = 66.9°, d = 1.399 Å, I = 14
- (2 1 7), 2θ = 77.3°, d = 1.234 Å, I = 15

Atomic structure:
```
data_Pm8Ge5Se
_space_group_name_H-M_alt 'I -4'
_space_group_IT_number 82
_cell_length_a 9.0680
_cell_length_b 9.0680
_cell_length_c 9.0686
_cell_angle_alpha 90.00
_cell_angle_beta 90.00
_cell_angle_gamma 90.00
loop_
_space_group_symop_operation_xyz
'x,y,z'
'y,-x,-z'
'-x,-y,z'
'-y,x,-z'
'x+1/2,y+1/2,z+1/2'
'y+1/2,-x+1/2,-z+1/2'
'-x+1/2,-y+1/2,z+1/2'
'-y+1/2,x+1/2,-z+1/2'
loop_
_atom_site_label
_atom_site_type_symbol
_atom_site_fract_x
_atom_site_fract_y
_atom_site_fract_z
Pm1 Pm 0.0675 0.1852 0.1880
Pm2 Pm 0.0683 0.3174 0.5584
Ge1 Ge 0.0000 0.5000 0.2500
Ge2 Ge 0.1258 0.2511 0.8739
Se1 Se 0.0000 0.0000 0.5000
```

=====

Structure and simulated X-ray diffraction stick pattern of MgIn6Ga (a DFT-relaxed cell (GGA-PBE, Alexandria); Cu Kα).
Lines closer than 0.1° are merged.

Largest 10 diffraction maxima, in order of rising 2θ, 2θ = 10–90°:
- (1 0 0), 2θ = 19.5°, d = 4.554 Å, I = 5
- (1 0 2), 2θ = 26.9°, d = 3.318 Å, I = 5
- (1 1 2), 2θ = 33.4°, d = 2.682 Å, I = 100
- (0 0 4), 2θ = 37.1°, d = 2.422 Å, I = 19
- (2 0 0), 2θ = 39.6°, d = 2.277 Å, I = 31
- (2 0 4), 2θ = 55.4°, d = 1.659 Å, I = 23
- (2 2 0), 2θ = 57.2°, d = 1.610 Å, I = 10
- (1 1 6), 2θ = 64.6°, d = 1.444 Å, I = 14
- (3 1 2), 2θ = 67.9°, d = 1.380 Å, I = 24
- (2 2 4), 2θ = 70.2°, d = 1.341 Å, I = 11

Atomic structure:
```
data_MgIn6Ga
_space_group_name_H-M_alt 'P 4/m m m'
_space_group_IT_number 123
_space_group_name_Hall '-P 4 2'
_cell_length_a 4.5537
_cell_length_b 4.5537
_cell_length_c 9.6899
_cell_angle_alpha 90.00
_cell_angle_beta 90.00
_cell_angle_gamma 90.00
loop_
_atom_site_label
_atom_site_type_symbol
_atom_site_fract_x
_atom_site_fract_y
_atom_site_fract_z
Mg1 Mg 0.0000 0.0000 0.0000
In1 In 0.0000 0.5000 0.2487
In2 In 0.5000 0.5000 0.0000
In3 In 0.5000 0.5000 0.5000
Ga1 Ga 0.0000 0.0000 0.5000
```

=====

Structure and simulated X-ray diffraction stick pattern of SrAc14Sm (a DFT-relaxed cell (GGA-PBE, Alexandria); Cu Kα).
Lines closer than 0.1° are merged.

Largest 10 diffraction maxima, in order of rising 2θ, 2θ = 10–90°:
- (2 2 2), 2θ = 27.4°, d = 3.254 Å, I = 100
- (0 4 0), 2θ = 31.7°, d = 2.822 Å, I = 34
- (4 0 0), 2θ = 31.8°, d = 2.812 Å, I = 17
- (4 4 0), 2θ = 45.5°, d = 1.993 Å, I = 39
- (2 6 2), 2θ = 53.9°, d = 1.701 Å, I = 32
- (6 2 2), 2θ = 54.1°, d = 1.697 Å, I = 16
- (4 4 4), 2θ = 56.6°, d = 1.627 Å, I = 14
- (6 6 2), 2θ = 73.2°, d = 1.293 Å, I = 13
- (4 8 0), 2θ = 75.3°, d = 1.262 Å, I = 12
- (4 8 4), 2θ = 84.1°, d = 1.151 Å, I = 9

Atomic structure:
```
data_SrAc14Sm
_space_group_name_H-M_alt 'A m m 2'
_space_group_IT_number 38
_cell_length_a 11.2461
_cell_length_b 11.2866
_cell_length_c 11.2884
_cell_angle_alpha 90.00
_cell_angle_beta 90.00
_cell_angle_gamma 90.00
loop_
_space_group_symop_operation_xyz
'x,y,z'
'-x,-y,z'
'-x,y,z'
'x,-y,z'
'x,y+1/2,z+1/2'
'-x,-y+1/2,z+1/2'
'-x,y+1/2,z+1/2'
'x,-y+1/2,z+1/2'
loop_
_atom_site_label
_atom_site_type_symbol
_atom_site_fract_x
_atom_site_fract_y
_atom_site_fract_z
Sr1 Sr 0.0000 0.0000 0.0000
Ac1 Ac 0.0000 0.2495 0.7501
Ac2 Ac 0.2494 0.0000 0.2549
Ac3 Ac 0.2497 0.2450 0.5001
Ac4 Ac 0.2505 0.0000 0.7452
Ac5 Ac 0.5000 0.0000 0.0001
Ac6 Ac 0.5000 0.0000 0.4998
Ac7 Ac 0.5000 0.2495 0.2500
Sm1 Sm 0.0000 0.0000 0.5004
```

=====

Structure and simulated X-ray diffraction stick pattern of GeSb3Pd12 (a DFT-relaxed cell (GGA-PBE, Alexandria); Cu Kα).
Lines closer than 0.1° are merged.

Largest 10 diffraction maxima, in order of rising 2θ, 2θ = 10–90°:
- (1 1 3), 2θ = 35.7°, d = 2.517 Å, I = 1
- (1 1 4), 2θ = 38.7°, d = 2.324 Å, I = 100
- (2 0 0), 2θ = 44.9°, d = 2.019 Å, I = 33
- (0 0 8), 2θ = 45.3°, d = 2.001 Å, I = 15
- (2 2 0), 2θ = 65.4°, d = 1.427 Å, I = 11
- (2 0 8), 2θ = 65.7°, d = 1.421 Å, I = 20
- (1 1 11), 2θ = 73.0°, d = 1.296 Å, I = 1
- (3 1 4), 2θ = 78.7°, d = 1.216 Å, I = 24
- (1 1 12), 2θ = 79.3°, d = 1.208 Å, I = 11
- (2 2 8), 2θ = 83.1°, d = 1.162 Å, I = 10

Atomic structure:
```
data_GeSb3Pd12
_space_group_name_H-M_alt 'P 4/m m m'
_space_group_IT_number 123
_space_group_name_Hall '-P 4 2'
_cell_length_a 4.0374
_cell_length_b 4.0374
_cell_length_c 16.0058
_cell_angle_alpha 90.00
_cell_angle_beta 90.00
_cell_angle_gamma 90.00
loop_
_atom_site_label
_atom_site_type_symbol
_atom_site_fract_x
_atom_site_fract_y
_atom_site_fract_z
Ge1 Ge 0.0000 0.0000 0.0000
Sb1 Sb 0.0000 0.0000 0.2454
Sb2 Sb 0.0000 0.0000 0.5000
Pd1 Pd 0.0000 0.5000 0.1185
Pd2 Pd 0.0000 0.5000 0.3730
Pd3 Pd 0.5000 0.5000 0.0000
Pd4 Pd 0.5000 0.5000 0.2458
Pd5 Pd 0.5000 0.5000 0.5000
```

=====

Structure and simulated X-ray diffraction stick pattern of KZnAgHg2 (a DFT-relaxed cell (GGA-PBE, Alexandria); Cu Kα).
Lines closer than 0.1° are merged.

Largest 10 diffraction maxima, in order of rising 2θ, 2θ = 10–90°:
- (1 0 0), 2θ = 16.6°, d = 5.333 Å, I = 17
- (0 0 1), 2θ = 17.2°, d = 5.166 Å, I = 37
- (1 1 1), 2θ = 29.3°, d = 3.046 Å, I = 100
- (2 0 0), 2θ = 33.6°, d = 2.666 Å, I = 59
- (0 0 2), 2θ = 34.7°, d = 2.583 Å, I = 27
- (2 0 1), 2θ = 38.0°, d = 2.369 Å, I = 22
- (2 2 0), 2θ = 48.3°, d = 1.885 Å, I = 21
- (2 0 2), 2θ = 49.1°, d = 1.855 Å, I = 40
- (3 1 1), 2θ = 57.5°, d = 1.603 Å, I = 30
- (2 2 2), 2θ = 60.8°, d = 1.523 Å, I = 21

Atomic structure:
```
data_KZnAgHg2
_space_group_name_H-M_alt 'P 4/m m m'
_space_group_IT_number 123
_space_group_name_Hall '-P 4 2'
_cell_length_a 5.3329
_cell_length_b 5.3329
_cell_length_c 5.1660
_cell_angle_alpha 90.00
_cell_angle_beta 90.00
_cell_angle_gamma 90.00
loop_
_atom_site_label
_atom_site_type_symbol
_atom_site_fract_x
_atom_site_fract_y
_atom_site_fract_z
K1 K 0.0000 0.0000 0.0000
Zn1 Zn 0.5000 0.5000 0.5000
Ag1 Ag 0.5000 0.5000 0.0000
Hg1 Hg 0.0000 0.5000 0.5000
```

=====

Structure and simulated X-ray diffraction stick pattern of Sb2S3I (a DFT-relaxed cell (GGA-PBE, Alexandria); Cu Kα).
Lines closer than 0.1° are merged.

Largest 10 diffraction maxima, in order of rising 2θ, 2θ = 10–90°:
- (2 0 0), 2θ = 10.2°, d = 8.631 Å, I = 47
- (3 1 -1), 2θ = 25.8°, d = 3.457 Å, I = 65
- (2 0 -3), 2θ = 27.0°, d = 3.303 Å, I = 35
- (3 1 -2), 2θ = 29.0°, d = 3.079 Å, I = 42
- (4 0 -3), 2θ = 29.1°, d = 3.066 Å, I = 54
- (3 1 1), 2θ = 29.5°, d = 3.025 Å, I = 76
- (1 1 2), 2θ = 30.0°, d = 2.978 Å, I = 100
- (6 0 0), 2θ = 31.1°, d = 2.877 Å, I = 48
- (0 2 0), 2θ = 42.3°, d = 2.137 Å, I = 42
- (7 1 2), 2θ = 52.2°, d = 1.754 Å, I = 46

Atomic structure:
```
data_Sb2S3I
_space_group_name_H-M_alt 'C 1 2/m 1'
_space_group_IT_number 12
_cell_length_a 18.3778
_cell_length_b 4.2739
_cell_length_c 9.9119
_cell_angle_alpha 90.00
_cell_angle_beta 110.06
_cell_angle_gamma 90.00
loop_
_space_group_symop_operation_xyz
'x,y,z'
'-x,-y,-z'
'-x,y,-z'
'x,-y,z'
'x+1/2,y+1/2,z'
'-x+1/2,-y+1/2,-z'
'-x+1/2,y+1/2,-z'
'x+1/2,-y+1/2,z'
loop_
_atom_site_label
_atom_site_type_symbol
_atom_site_fract_x
_atom_site_fract_y
_atom_site_fract_z
Sb1 Sb 0.0936 0.0000 0.3766
Sb2 Sb 0.2465 0.5000 0.1617
S1 S 0.0993 0.5000 0.2243
S2 S 0.1744 0.0000 0.0161
S3 S 0.2382 0.0000 0.5110
I1 I 0.1061 0.5000 0.6622
```

=====

Structure and simulated X-ray diffraction stick pattern of MgCuAs2S4 (a DFT-relaxed cell (GGA-PBE, Alexandria); Cu Kα).
Lines closer than 0.1° are merged.

Largest 10 diffraction maxima, in order of rising 2θ, 2θ = 10–90°:
- (2 0 0), 2θ = 24.2°, d = 3.678 Å, I = 88
- (0 2 1), 2θ = 27.3°, d = 3.263 Å, I = 100
- (2 0 -2), 2θ = 31.5°, d = 2.836 Å, I = 57
- (2 2 1), 2θ = 42.3°, d = 2.136 Å, I = 55
- (0 4 0), 2θ = 42.7°, d = 2.118 Å, I = 32
- (4 0 -2), 2θ = 44.7°, d = 2.026 Å, I = 24
- (4 2 -1), 2θ = 48.8°, d = 1.866 Å, I = 22
- (2 4 0), 2θ = 49.7°, d = 1.835 Å, I = 22
- (2 2 -3), 2θ = 51.7°, d = 1.768 Å, I = 31
- (2 4 -2), 2θ = 54.0°, d = 1.697 Å, I = 23

Atomic structure:
```
data_MgCuAs2S4
_space_group_name_H-M_alt 'C 1 m 1'
_space_group_IT_number 8
_cell_length_a 8.3952
_cell_length_b 8.4719
_cell_length_c 5.8389
_cell_angle_alpha 90.00
_cell_angle_beta 118.81
_cell_angle_gamma 90.00
loop_
_space_group_symop_operation_xyz
'x,y,z'
'x,-y,z'
'x+1/2,y+1/2,z'
'x+1/2,-y+1/2,z'
loop_
_atom_site_label
_atom_site_type_symbol
_atom_site_fract_x
_atom_site_fract_y
_atom_site_fract_z
Mg1 Mg 0.0000 0.0000 0.0000
Cu1 Cu 0.0153 0.5000 0.0148
As1 As 0.4834 0.2451 0.4660
S1 S 0.3343 0.5000 0.2641
S2 S 0.3440 0.0000 0.2476
S3 S 0.4130 0.2359 0.7902
```

=====

Structure and simulated X-ray diffraction stick pattern of HfCo3Tc (a DFT-relaxed cell (GGA-PBE, Alexandria); Cu Kα).
Lines closer than 0.1° are merged.

Largest 9 diffraction maxima, in order of rising 2θ, 2θ = 10–90°:
- (1 1 0), 2θ = 29.0°, d = 3.079 Å, I = 100
- (1 1 1), 2θ = 35.7°, d = 2.514 Å, I = 58
- (2 0 0), 2θ = 41.5°, d = 2.177 Å, I = 89
- (2 1 1), 2θ = 51.4°, d = 1.778 Å, I = 42
- (2 2 0), 2θ = 60.1°, d = 1.540 Å, I = 57
- (3 1 0), 2θ = 68.1°, d = 1.377 Å, I = 18
- (3 1 1), 2θ = 71.9°, d = 1.313 Å, I = 21
- (2 2 2), 2θ = 75.7°, d = 1.257 Å, I = 19
- (3 2 1), 2θ = 83.0°, d = 1.164 Å, I = 22

Atomic structure:
```
data_HfCo3Tc
_space_group_name_H-M_alt 'P m -3 m'
_space_group_IT_number 221
_space_group_name_Hall '-P 4 2 3'
_cell_length_a 4.3547
_cell_length_b 4.3547
_cell_length_c 4.3547
_cell_angle_alpha 90.00
_cell_angle_beta 90.00
_cell_angle_gamma 90.00
loop_
_atom_site_label
_atom_site_type_symbol
_atom_site_fract_x
_atom_site_fract_y
_atom_site_fract_z
Hf1 Hf 0.0000 0.0000 0.0000
Co1 Co 0.0000 0.5000 0.5000
Tc1 Tc 0.5000 0.5000 0.5000
```